Co14Ni: theoretical X-ray powder pattern (λ = 1.5418 Å (Cu Kα)), based on the GGA-PBE geometry in OQMD.

Atomic structure:
Unit cell a=8.5368 b=8.5368 c=4.4927 alpha=90.00 beta=90.00 gamma=90.00
Space group P4_2/mnm (No. 136)
Symmetry-distinct sites (fractional):
Co  0.0375  0.3660  0.0000 [8 per cell]
Co  0.0665  0.2640  0.5000 [8 per cell]
Co  0.0976  0.0976  0.0000 [4 per cell]
Co  0.1823  0.8177  0.2496 [8 per cell]
Ni  0.0000  0.0000  0.5000 [2 per cell]

Peak list (10 most intense, 5 to 70 degrees two-theta, low angle first)
2θ 38.92, d = 2.314 Å, intensity 7, hkl 3 1 1
2θ 40.14, d = 2.246 Å, intensity 24, hkl 0 0 2
2θ 43.72, d = 2.070 Å, intensity 95, hkl 4 1 0
2θ 45.06, d = 2.012 Å, intensity 41, hkl 3 3 0
2θ 45.64, d = 1.988 Å, intensity 37, hkl 2 0 2
2θ 46.93, d = 1.936 Å, intensity 70, hkl 2 1 2
2θ 48.41, d = 1.880 Å, intensity 100, hkl 4 1 1
2θ 49.64, d = 1.836 Å, intensity 50, hkl 3 3 1
2θ 50.66, d = 1.802 Å, intensity 12, hkl 2 2 2
2θ 53.03, d = 1.727 Å, intensity 17, hkl 3 1 2


Co16Ni13: theoretical X-ray powder pattern (λ = 1.5418 Å (Cu Kα)), based on the GGA-PBE geometry in OQMD.

Atomic structure:
Unit cell a=8.5687 b=8.5687 c=8.5687 alpha=90.00 beta=90.00 gamma=90.00
Space group I-43m (No. 217)
Symmetry-distinct sites (fractional):
Co  0.0460  0.3621  0.6379 [24 per cell]
Co  0.1820  0.1820  0.1820 [8 per cell]
Ni  0.0000  0.0000  0.0000 [2 per cell]
Ni  0.0925  0.0925  0.7169 [24 per cell]

Peak list (10 most intense, 5 to 70 degrees two-theta, low angle first)
2θ 25.46, d = 3.498 Å, intensity 1, hkl 2 1 1
2θ 36.32, d = 2.474 Å, intensity 1, hkl 2 2 2
2θ 39.34, d = 2.290 Å, intensity 2, hkl 3 2 1
2θ 42.19, d = 2.142 Å, intensity 8, hkl 4 0 0
2θ 44.88, d = 2.020 Å, intensity 100, hkl 4 1 1
2θ 49.92, d = 1.827 Å, intensity 32, hkl 3 3 2
2θ 52.30, d = 1.749 Å, intensity 10, hkl 4 2 2
2θ 54.61, d = 1.680 Å, intensity 15, hkl 4 3 1
2θ 59.05, d = 1.564 Å, intensity 1, hkl 5 2 1
2θ 67.37, d = 1.390 Å, intensity 2, hkl 5 3 2


CoNi28: theoretical X-ray powder pattern (λ = 1.5418 Å (Cu Kα)), based on the GGA-PBE geometry in OQMD.

Atomic structure:
Unit cell a=8.5768 b=8.5768 c=8.5768 alpha=90.00 beta=90.00 gamma=90.00
Space group I-43m (No. 217)
Symmetry-distinct sites (fractional):
Co  0.0000  0.0000  0.0000 [2 per cell]
Ni  0.0462  0.3614  0.6386 [24 per cell]
Ni  0.0927  0.0927  0.7170 [24 per cell]
Ni  0.1766  0.1766  0.1766 [8 per cell]

Peak list (10 most intense, 5 to 70 degrees two-theta, low angle first)
2θ 25.44, d = 3.501 Å, intensity 1, hkl 2 1 1
2θ 39.31, d = 2.292 Å, intensity 2, hkl 3 2 1
2θ 42.14, d = 2.144 Å, intensity 10, hkl 4 0 0
2θ 44.83, d = 2.022 Å, intensity 100, hkl 4 1 1
2θ 49.87, d = 1.829 Å, intensity 30, hkl 3 3 2
2θ 52.25, d = 1.751 Å, intensity 10, hkl 4 2 2
2θ 54.56, d = 1.682 Å, intensity 16, hkl 4 3 1
2θ 63.22, d = 1.471 Å, intensity 1, hkl 4 3 3
2θ 65.27, d = 1.429 Å, intensity 1, hkl 4 4 2
2θ 67.30, d = 1.391 Å, intensity 1, hkl 5 3 2